[1]
AcCd6Hg: theoretical powder XRD pattern (Cu Kα), based on a PBE-relaxed structure.
Lines closer than 0.1° are merged.

Principal peaks in the range 10 to 90 degrees two-theta, sorted by position:
2θ = 16.9°, I = 15
2θ = 31.3°, I = 85
2θ = 34.1°, I = 100
2θ = 39.8°, I = 45
2θ = 53.4°, I = 39
2θ = 59.4°, I = 14
2θ = 61.1°, I = 18
2θ = 65.4°, I = 28
2θ = 70.3°, I = 17
2θ = 85.9°, I = 13

Cell and atoms:
```
AcCd6Hg
1.0
6.064 0.000 0.000
-3.032 5.252 0.000
0.000 0.000 6.806
Ac Cd Hg
1 6 1
Cartesian
0.000 0.000 0.000
-1.516 2.626 1.787
-1.516 2.626 5.019
3.032 0.000 1.787
3.032 0.000 5.019
1.516 2.626 1.787
1.516 2.626 5.019
0.000 0.000 3.403
```

***

[2]
AcCd2InHg5: theoretical powder XRD pattern (Cu Kα), based on a PBE-relaxed structure.
Lines closer than 0.1° are merged.

Principal peaks in the range 10 to 90 degrees two-theta, sorted by position:
2θ = 30.7°, I = 100
2θ = 34.3°, I = 58
2θ = 37.5°, I = 24
2θ = 49.2°, I = 21
2θ = 52.2°, I = 16
2θ = 59.1°, I = 32
2θ = 63.5°, I = 10
2θ = 64.3°, I = 13
2θ = 82.4°, I = 10
2θ = 85.0°, I = 12

Cell and atoms:
```
AcCd2InHg5
1.0
5.234 0.000 0.000
0.000 5.234 0.000
0.000 0.000 9.444
Ac Cd In Hg
1 2 1 5
Cartesian
0.000 0.000 0.000
2.617 2.617 3.362
2.617 2.617 6.082
0.000 0.000 4.722
0.000 2.617 2.176
0.000 2.617 7.268
2.617 0.000 2.176
2.617 0.000 7.268
2.617 2.617 0.000
```

***

[3]
Ac2CdHgIr: theoretical powder XRD pattern (Cu Kα), based on a PBE-relaxed structure.
Lines closer than 0.1° are merged.

Principal peaks in the range 10 to 90 degrees two-theta, sorted by position:
2θ = 29.0°, I = 41
2θ = 29.3°, I = 100
2θ = 30.6°, I = 49
2θ = 31.1°, I = 28
2θ = 32.2°, I = 49
2θ = 34.3°, I = 36
2θ = 35.6°, I = 64
2θ = 37.4°, I = 51
2θ = 41.2°, I = 47
2θ = 45.2°, I = 28

Cell and atoms:
```
Ac2CdHgIr
1.0
8.562 0.000 0.000
0.000 4.379 0.000
-3.457 0.000 7.939
Ac Cd Hg Ir
4 2 2 2
Cartesian
-0.659 1.095 1.770
0.839 3.284 4.907
4.266 1.095 3.031
5.764 3.284 6.168
-0.260 1.095 7.530
5.366 3.284 0.409
2.010 3.284 1.542
3.096 1.095 6.397
-1.219 1.095 4.863
6.324 3.284 3.076
```

***

[4]
Ac4Cd2HgN2: theoretical powder XRD pattern (Cu Kα), based on a PBE-relaxed structure.
Lines closer than 0.1° are merged.

Principal peaks in the range 10 to 90 degrees two-theta, sorted by position:
2θ = 12.3°, I = 26
2θ = 24.3°, I = 51
2θ = 26.3°, I = 56
2θ = 27.6°, I = 68
2θ = 30.3°, I = 31
2θ = 31.6°, I = 100
2θ = 31.8°, I = 66
2θ = 34.6°, I = 32
2θ = 43.7°, I = 25
2θ = 51.2°, I = 30

Cell and atoms:
```
Ac4Cd2HgN2
1.0
9.703 -2.073 0.000
9.703 2.073 0.000
-3.136 0.000 7.202
Ac Cd Hg N
4 2 1 2
Cartesian
0.058 0.000 2.599
3.097 0.000 5.218
13.173 0.000 1.985
16.212 0.000 4.603
6.928 0.000 1.667
9.341 0.000 5.535
9.703 0.000 0.000
2.366 0.000 2.833
13.904 0.000 4.370
```